Record 1
This entry pairs a crystal structure of SrLi2H6Rh with its computed PXRD pattern. Radiation: a wavelength of 1.5418 Å. Structure: a cell relaxed with GGA-PBE.

Most intense lines, 10 to 90 degrees two-theta, sorted by position:
d = 4.112 Å, 21.6 deg, rel. 1000, (1 0 0); d = 3.171 Å, 28.1 deg, rel. 184, (0 0 2); d = 2.511 Å, 35.8 deg, rel. 539, (1 0 2); d = 2.374 Å, 37.9 deg, rel. 258, (1 1 0); d = 2.056 Å, 44.0 deg, rel. 142, (2 0 0); d = 1.901 Å, 47.9 deg, rel. 262, (1 1 2); d = 1.725 Å, 53.1 deg, rel. 173, (0 2 2); d = 1.554 Å, 59.5 deg, rel. 119, (2 1 0); d = 1.479 Å, 62.8 deg, rel. 106, (1 0 4); d = 1.396 Å, 67.1 deg, rel. 168, (2 1 2); d = 1.319 Å, 71.6 deg, rel. 72, (1 1 4); d = 1.110 Å, 88.0 deg, rel. 86, (2 1 4)

Structural model:
Lattice parameters (Å, degrees): 4.7481 4.7481 6.3426 90.00 90.00 120.00
Space group P-3m1 (No. 164)
One atom of each set of equivalent atoms:
1 Sr 0.0000 0.0000 0.0000 x1
2 Li 0.3333 0.6667 0.4347 x2
3 H 0.1630 0.3259 0.6575 x6
4 Rh 0.0000 0.0000 0.5000 x1

=====

Record 2
This entry pairs a crystal structure of ThPS4Br with its computed PXRD pattern. Radiation: a wavelength of 1.5418 Å. Structure: a cell relaxed with GGA-PBE.

Most intense lines, 10 to 90 degrees two-theta, sorted by position:
d = 7.721 Å, 11.5 deg, rel. 836, (0 0 1); d = 5.558 Å, 15.9 deg, rel. 599, (1 1 -1); d = 5.435 Å, 16.3 deg, rel. 372, (2 0 0); d = 4.399 Å, 20.2 deg, rel. 1000, (0 2 0); d = 4.010 Å, 22.2 deg, rel. 281, (2 0 1); d = 3.606 Å, 24.7 deg, rel. 243, (1 1 -2); d = 3.361 Å, 26.5 deg, rel. 263, (3 1 -1); d = 3.162 Å, 28.2 deg, rel. 293, (1 1 2); d = 2.869 Å, 31.2 deg, rel. 406, (3 1 -2); d = 2.715 Å, 33.0 deg, rel. 385, (1 3 -1); d = 2.282 Å, 39.5 deg, rel. 231, (3 3 -1); d = 2.109 Å, 42.9 deg, rel. 319, (3 3 -2)

Structural model:
Lattice parameters (Å, degrees): 11.2046 8.7973 7.9595 90.00 104.05 90.00
Space group C2/m (No. 12)
One atom of each set of equivalent atoms:
1 Th 0.2205 0.0000 0.1270 x4
2 P 0.1401 0.5000 0.2740 x4
3 S 0.0322 0.5000 0.6959 x4
4 S 0.1733 0.3246 0.1086 x8
5 S 0.2298 0.0000 0.5004 x4
6 Br 0.0247 0.0000 0.7934 x4

=====

Record 3
This entry pairs a crystal structure of Cs2Cd5Bi4 with its computed PXRD pattern. Radiation: a wavelength of 1.5418 Å. Structure: a cell relaxed with GGA-PBE.

Most intense lines, 10 to 90 degrees two-theta, sorted by position:
d = 6.945 Å, 12.7 deg, rel. 240, (0 2 0); d = 6.026 Å, 14.7 deg, rel. 438, (1 1 1); d = 3.807 Å, 23.4 deg, rel. 623, (1 3 1); d = 3.643 Å, 24.4 deg, rel. 213, (2 0 0); d = 3.208 Å, 27.8 deg, rel. 1000, (1 3 3); d = 2.756 Å, 32.5 deg, rel. 720, (2 0 4); d = 2.680 Å, 33.4 deg, rel. 356, (0 4 4); d = 2.561 Å, 35.0 deg, rel. 282, (2 2 4); d = 2.552 Å, 35.2 deg, rel. 267, (1 3 5); d = 2.029 Å, 44.7 deg, rel. 258, (0 6 4); d = 2.009 Å, 45.1 deg, rel. 271, (3 3 3); d = 1.954 Å, 46.5 deg, rel. 363, (2 6 0)

Structural model:
Lattice parameters (Å, degrees): 7.2866 13.8905 16.8512 90.00 90.00 90.00
Space group Fmmm (No. 69)
One atom of each set of equivalent atoms:
1 Cs 0.0000 0.0000 0.1530 x8
2 Cd 0.0000 0.0000 0.5000 x4
3 Cd 0.2500 0.2500 0.0000 x8
4 Cd 0.2500 0.2500 0.2500 x8
5 Bi 0.0000 0.1536 0.3748 x16

=====

Record 4
This entry pairs a crystal structure of Tb5Cu4Ru with its computed PXRD pattern. Radiation: a wavelength of 1.5418 Å. Structure: a cell relaxed with GGA-PBE.

Most intense lines, 10 to 90 degrees two-theta, sorted by position:
d = 3.507 Å, 25.4 deg, rel. 75, (0 0 5); d = 3.455 Å, 25.8 deg, rel. 148, (1 0 0); d = 2.461 Å, 36.5 deg, rel. 1000, (1 0 5); d = 2.443 Å, 36.8 deg, rel. 492, (1 1 0); d = 1.754 Å, 52.2 deg, rel. 87, (0 0 10); d = 1.727 Å, 53.0 deg, rel. 170, (2 0 0); d = 1.425 Å, 65.5 deg, rel. 173, (1 1 10); d = 1.414 Å, 66.1 deg, rel. 343, (2 1 5); d = 1.231 Å, 77.6 deg, rel. 106, (2 0 10); d = 1.107 Å, 88.2 deg, rel. 76, (1 0 15); d = 1.094 Å, 89.6 deg, rel. 77, (3 0 5); d = 1.092 Å, 89.8 deg, rel. 77, (3 1 0)

Structural model:
Lattice parameters (Å, degrees): 3.4548 3.4548 17.5351 90.00 90.00 90.00
Space group P4/mmm (No. 123)
One atom of each set of equivalent atoms:
1 Tb 0.0000 0.0000 0.0000 x1
2 Tb 0.0000 0.0000 0.2014 x2
3 Tb 0.0000 0.0000 0.4043 x2
4 Cu 0.5000 0.5000 0.0999 x2
5 Cu 0.5000 0.5000 0.3005 x2
6 Ru 0.5000 0.5000 0.5000 x1

=====

Record 5
This entry pairs a crystal structure of Bi3Au with its computed PXRD pattern. Radiation: a wavelength of 1.5418 Å. Structure: a cell relaxed with GGA-PBE.

Most intense lines, 10 to 90 degrees two-theta, sorted by position:
d = 3.185 Å, 28.0 deg, rel. 660, (1 0 1); d = 2.901 Å, 30.8 deg, rel. 1000, (0 1 2); d = 2.447 Å, 36.7 deg, rel. 208, (0 0 4); d = 2.386 Å, 37.7 deg, rel. 695, (1 1 1); d = 2.343 Å, 38.4 deg, rel. 286, (1 0 3); d = 1.980 Å, 45.8 deg, rel. 116, (1 0 4); d = 1.964 Å, 46.2 deg, rel. 239, (1 1 3); d = 1.801 Å, 50.7 deg, rel. 147, (0 2 0); d = 1.684 Å, 54.5 deg, rel. 119, (2 0 0); d = 1.568 Å, 58.9 deg, rel. 172, (1 2 1); d = 1.457 Å, 63.9 deg, rel. 261, (2 1 2); d = 1.428 Å, 65.3 deg, rel. 124, (1 2 3)

Structural model:
Lattice parameters (Å, degrees): 3.3689 3.6022 9.7861 90.00 90.00 90.00
Space group Pmm2 (No. 25)
One atom of each set of equivalent atoms:
1 Bi 0.0000 0.0000 0.0000 x1
2 Bi 0.0000 0.5000 0.2881 x1
3 Bi 0.5000 0.5000 0.7108 x1
4 Au 0.5000 0.0000 0.4788 x1